1.
Structure and simulated powder diffractogram of TbNd2Y2Ho4 (a cell relaxed with PBE; copper Kα).
Peak positions follow from Bragg's law for the DFT cell and can differ from measured ones.

Cell: 9.528 9.528 9.579 Å, 115.23 115.23 21.81°
Positions (direct):
Tb 0.000 0.000 0.000
Nd 0.334 0.334 0.999
Nd 0.666 0.666 0.001
Y 0.147 0.147 0.663
Y 0.853 0.853 0.337
Ho 0.185 0.185 0.336
Ho 0.481 0.481 0.666
Ho 0.519 0.519 0.334
Ho 0.815 0.815 0.664

Largest 10 diffraction maxima, low angle first, 10° ≤ 2θ ≤ 90°:
| d_spacing | 2θ/deg | I/Imax |
| --- | --- | --- |
| 3.098 | 28.8 | 40 |
| 2.876 | 31.1 | 50 |
| 2.811 | 31.8 | 100 |
| 2.673 | 33.5 | 91 |
| 1.802 | 50.7 | 39 |
| 1.679 | 54.7 | 21 |
| 1.591 | 58.0 | 20 |
| 1.527 | 60.7 | 45 |
| 1.517 | 61.1 | 15 |
| 1.124 | 86.6 | 18 |

---

2.
Structure and simulated powder diffractogram of TbNd2Y6Ho (a cell relaxed with PBE; copper Kα).
Peak positions follow from Bragg's law for the DFT cell and can differ from measured ones.

Cell: 8.796 8.796 9.796 Å, 95.02 95.02 117.78°
Positions (direct):
Tb 0.018 0.982 0.750
Tb 0.982 0.018 0.250
Nd 0.193 0.294 0.544
Nd 0.294 0.193 0.044
Nd 0.706 0.807 0.956
Nd 0.807 0.706 0.456
Y 0.019 0.575 0.686
Y 0.123 0.745 0.057
Y 0.255 0.877 0.443
Y 0.295 0.504 0.882
Y 0.425 0.981 0.814
Y 0.496 0.705 0.618
Y 0.504 0.295 0.382
Y 0.575 0.019 0.186
Y 0.705 0.496 0.118
Y 0.745 0.123 0.557
Y 0.877 0.255 0.943
Y 0.981 0.425 0.314
Ho 0.406 0.594 0.250
Ho 0.594 0.406 0.750

Largest 10 diffraction maxima, low angle first, 10° ≤ 2θ ≤ 90°:
| d_spacing | 2θ/deg | I/Imax |
| --- | --- | --- |
| 7.531 | 11.8 | 24 |
| 3.249 | 27.4 | 30 |
| 3.118 | 28.6 | 45 |
| 2.959 | 30.2 | 53 |
| 2.942 | 30.4 | 54 |
| 2.852 | 31.4 | 100 |
| 2.816 | 31.8 | 79 |
| 2.779 | 32.2 | 25 |
| 2.702 | 33.2 | 60 |
| 1.752 | 52.2 | 19 |

---

3.
Structure and simulated powder diffractogram of Tb2Nd3Ho6Zr (a cell relaxed with PBE; copper Kα).
Peak positions follow from Bragg's law for the DFT cell and can differ from measured ones.

Cell: 6.133 6.133 11.677 Å, 95.01 95.01 119.95°
Positions (direct):
Tb 0.167 0.833 0.000
Tb 0.833 0.167 0.000
Nd 0.000 0.000 0.500
Nd 0.334 0.666 0.500
Nd 0.666 0.334 0.500
Ho 0.093 0.420 0.758
Ho 0.254 0.254 0.242
Ho 0.420 0.093 0.758
Ho 0.580 0.907 0.242
Ho 0.746 0.746 0.758
Ho 0.907 0.580 0.242
Zr 0.500 0.500 0.000

Largest 10 diffraction maxima, low angle first, 10° ≤ 2θ ≤ 90°:
| d_spacing | 2θ/deg | I/Imax |
| --- | --- | --- |
| 2.890 | 30.9 | 100 |
| 2.874 | 31.1 | 32 |
| 2.499 | 35.9 | 67 |
| 1.771 | 51.6 | 24 |
| 1.764 | 51.8 | 23 |
| 1.510 | 61.4 | 14 |
| 1.508 | 61.5 | 28 |
| 1.503 | 61.7 | 13 |
| 1.445 | 64.5 | 8 |
| 1.116 | 87.4 | 10 |

---

4.
Structure and simulated powder diffractogram of Nd2Ho7Tc2 (a cell relaxed with PBE; copper Kα).
Peak positions follow from Bragg's law for the DFT cell and can differ from measured ones.

Cell: 10.904 10.904 10.904 Å, 161.24 54.74 129.08°
Positions (direct):
Nd 0.244 0.000 0.244
Nd 0.756 0.000 0.756
Ho 0.096 0.515 0.580
Ho 0.168 0.304 0.864
Ho 0.439 0.304 0.136
Ho 0.461 0.961 0.500
Ho 0.582 0.694 0.888
Ho 0.806 0.694 0.112
Ho 0.935 0.515 0.420
Tc 0.218 0.218 0.000
Tc 0.763 0.263 0.500

Largest 10 diffraction maxima, low angle first, 10° ≤ 2θ ≤ 90°:
| d_spacing | 2θ/deg | I/Imax |
| --- | --- | --- |
| 3.368 | 26.5 | 43 |
| 3.114 | 28.7 | 44 |
| 2.802 | 31.9 | 93 |
| 2.740 | 32.7 | 100 |
| 2.656 | 33.7 | 63 |
| 2.432 | 37.0 | 33 |
| 2.345 | 38.4 | 48 |
| 2.284 | 39.5 | 43 |
| 1.685 | 54.4 | 40 |
| 1.569 | 58.9 | 35 |

---

5.
Structure and simulated powder diffractogram of NdHo4Tc (a cell relaxed with PBE; copper Kα).
Peak positions follow from Bragg's law for the DFT cell and can differ from measured ones.

Cell: 8.807 3.748 20.511 Å, 90.00 90.00 90.00°
Positions (direct):
Nd 0.227 0.250 0.188
Nd 0.273 0.750 0.688
Nd 0.727 0.250 0.312
Nd 0.773 0.750 0.812
Ho 0.009 0.750 0.566
Ho 0.040 0.750 0.294
Ho 0.133 0.750 0.043
Ho 0.149 0.750 0.859
Ho 0.351 0.250 0.359
Ho 0.367 0.250 0.543
Ho 0.460 0.250 0.794
Ho 0.491 0.250 0.066
Ho 0.509 0.750 0.934
Ho 0.540 0.750 0.206
Ho 0.633 0.750 0.457
Ho 0.649 0.750 0.641
Ho 0.851 0.250 0.141
Ho 0.867 0.250 0.957
Ho 0.960 0.250 0.706
Ho 0.991 0.250 0.434
Tc 0.239 0.750 0.455
Tc 0.261 0.250 0.955
Tc 0.739 0.750 0.045
Tc 0.761 0.250 0.545

Largest 10 diffraction maxima, low angle first, 10° ≤ 2θ ≤ 90°:
| d_spacing | 2θ/deg | I/Imax |
| --- | --- | --- |
| 3.001 | 29.8 | 19 |
| 2.906 | 30.8 | 31 |
| 2.860 | 31.3 | 100 |
| 2.780 | 32.2 | 22 |
| 2.767 | 32.4 | 21 |
| 2.635 | 34.0 | 50 |
| 2.548 | 35.2 | 27 |
| 2.343 | 38.4 | 22 |
| 1.874 | 48.6 | 21 |
| 1.589 | 58.0 | 19 |

---

6.
Structure and simulated powder diffractogram of Nd2Ho3Te6 (a cell relaxed with PBE; copper Kα).
Peak positions follow from Bragg's law for the DFT cell and can differ from measured ones.

Cell: 7.572 7.572 7.609 Å, 99.66 99.66 119.72°
Positions (direct):
Nd 0.164 0.836 0.000
Nd 0.836 0.164 0.000
Ho 0.000 0.000 0.500
Ho 0.329 0.671 0.500
Ho 0.671 0.329 0.500
Te 0.096 0.417 0.747
Te 0.265 0.265 0.257
Te 0.417 0.096 0.747
Te 0.583 0.904 0.253
Te 0.735 0.735 0.743
Te 0.904 0.583 0.253

Largest 10 diffraction maxima, low angle first, 10° ≤ 2θ ≤ 90°:
| d_spacing | 2θ/deg | I/Imax |
| --- | --- | --- |
| 3.106 | 28.7 | 51 |
| 3.095 | 28.8 | 100 |
| 2.193 | 41.2 | 95 |
| 2.183 | 41.4 | 19 |
| 1.792 | 51.0 | 20 |
| 1.786 | 51.1 | 20 |
| 1.388 | 67.5 | 26 |
| 1.385 | 67.6 | 17 |
| 1.267 | 74.9 | 13 |
| 1.266 | 75.0 | 12 |

---

What did the second record say?
Structure and simulated powder diffractogram of TbNd2Y6Ho (a cell relaxed with PBE; copper Kα).
Peak positions follow from Bragg's law for the DFT cell and can differ from measured ones.

Cell: 8.796 8.796 9.796 Å, 95.02 95.02 117.78°
Positions (direct):
Tb 0.018 0.982 0.750
Tb 0.982 0.018 0.250
Nd 0.193 0.294 0.544
Nd 0.294 0.193 0.044
Nd 0.706 0.807 0.956
Nd 0.807 0.706 0.456
Y 0.019 0.575 0.686
Y 0.123 0.745 0.057
Y 0.255 0.877 0.443
Y 0.295 0.504 0.882
Y 0.425 0.981 0.814
Y 0.496 0.705 0.618
Y 0.504 0.295 0.382
Y 0.575 0.019 0.186
Y 0.705 0.496 0.118
Y 0.745 0.123 0.557
Y 0.877 0.255 0.943
Y 0.981 0.425 0.314
Ho 0.406 0.594 0.250
Ho 0.594 0.406 0.750

Largest 10 diffraction maxima, low angle first, 10° ≤ 2θ ≤ 90°:
| d_spacing | 2θ/deg | I/Imax |
| --- | --- | --- |
| 7.531 | 11.8 | 24 |
| 3.249 | 27.4 | 30 |
| 3.118 | 28.6 | 45 |
| 2.959 | 30.2 | 53 |
| 2.942 | 30.4 | 54 |
| 2.852 | 31.4 | 100 |
| 2.816 | 31.8 | 79 |
| 2.779 | 32.2 | 25 |
| 2.702 | 33.2 | 60 |
| 1.752 | 52.2 | 19 |